Entry 1:
# Pa6ZnN12
Theoretical XRD peak list, Cu Ka. Input: a crystal structure in Alexandria, relaxed with GGA-PBE.

```
data_Pa6ZnN12
_chemical_formula_sum 'Pa6 Zn1 N12'
_cell_length_a 6.582
_cell_length_b 6.582
_cell_length_c 6.582
_cell_angle_alpha 99.25
_cell_angle_beta 99.25
_cell_angle_gamma 99.25
_space_group_name_H-M_alt 'P 1'
_space_group_IT_number 1
loop_
_space_group_symop_operation_xyz
'x,y,z'
loop_
_atom_site_label
_atom_site_fract_x
_atom_site_fract_y
_atom_site_fract_z
_atom_site_occupancy
Pa1 0.098 0.793 0.637 1
Pa2 0.207 0.363 0.902 1
Pa3 0.363 0.902 0.207 1
Pa4 0.637 0.098 0.793 1
Pa5 0.793 0.637 0.098 1
Pa6 0.902 0.207 0.363 1
Zn1 0.500 0.500 0.500 1
N1 0.060 0.908 0.324 1
N2 0.092 0.676 0.940 1
N3 0.179 0.449 0.572 1
N4 0.324 0.060 0.908 1
N5 0.428 0.821 0.551 1
N6 0.449 0.572 0.179 1
N7 0.551 0.428 0.821 1
N8 0.572 0.179 0.449 1
N9 0.676 0.940 0.092 1
N10 0.821 0.551 0.428 1
N11 0.908 0.324 0.060 1
N12 0.940 0.092 0.676 1
```

Peak list (10 most intense, 2θ = 10–90°, low angle first)
d/Å	two_theta	I/Imax
5.014	17.7	13
3.130	28.5	34
3.099	28.8	100
2.690	33.3	54
1.910	47.6	29
1.895	48.0	28
1.630	56.4	16
1.621	56.8	28
1.617	57.0	14
1.230	77.6	10

Entry 2:
# ZrPa5N6
Theoretical XRD peak list, Cu Ka. Input: a crystal structure in Alexandria, relaxed with GGA-PBE.

```
data_ZrPa5N6
_chemical_formula_sum 'Zr1 Pa5 N6'
_cell_length_a 5.999
_cell_length_b 5.999
_cell_length_c 6.002
_cell_angle_alpha 99.56
_cell_angle_beta 99.56
_cell_angle_gamma 120.03
_space_group_name_H-M_alt 'P 1'
_space_group_IT_number 1
loop_
_space_group_symop_operation_xyz
'x,y,z'
loop_
_atom_site_label
_atom_site_fract_x
_atom_site_fract_y
_atom_site_fract_z
_atom_site_occupancy
Zr1 0.000 0.000 0.000 1
Pa1 0.166 0.834 0.500 1
Pa2 0.333 0.667 0.000 1
Pa3 0.500 0.500 0.500 1
Pa4 0.667 0.333 0.000 1
Pa5 0.834 0.166 0.500 1
N1 0.080 0.404 0.241 1
N2 0.243 0.243 0.756 1
N3 0.404 0.080 0.241 1
N4 0.596 0.920 0.759 1
N5 0.757 0.757 0.244 1
N6 0.920 0.596 0.759 1
```

Peak list (10 most intense, 2θ = 10–90°, low angle first)
d/Å	two_theta	I/Imax
2.828	31.6	100
2.449	36.7	67
1.732	52.9	47
1.478	62.9	8
1.477	62.9	38
1.414	66.1	16
1.225	78.0	7
1.124	86.6	13
1.123	86.7	7
1.096	89.4	19

Entry 3:
# ZrPaN3
Theoretical XRD peak list, Cu Ka. Input: a crystal structure in Alexandria, relaxed with GGA-PBE.

```
data_ZrPaN3
_chemical_formula_sum 'Zr2 Pa2 N6'
_cell_length_a 6.295
_cell_length_b 6.295
_cell_length_c 6.295
_cell_angle_alpha 52.39
_cell_angle_beta 52.39
_cell_angle_gamma 52.39
_space_group_name_H-M_alt 'P 1'
_space_group_IT_number 1
loop_
_space_group_symop_operation_xyz
'x,y,z'
loop_
_atom_site_label
_atom_site_fract_x
_atom_site_fract_y
_atom_site_fract_z
_atom_site_occupancy
Zr1 0.148 0.148 0.148 1
Zr2 0.852 0.852 0.852 1
Pa1 0.356 0.356 0.356 1
Pa2 0.644 0.644 0.644 1
N1 0.038 0.447 0.765 1
N2 0.235 0.553 0.962 1
N3 0.447 0.765 0.038 1
N4 0.553 0.962 0.235 1
N5 0.765 0.038 0.447 1
N6 0.962 0.235 0.553 1
```

Peak list (10 most intense, 2θ = 10–90°, low angle first)
d/Å	two_theta	I/Imax
5.416	16.4	22
4.615	19.2	22
4.141	21.5	21
3.104	28.8	100
2.779	32.2	91
2.070	43.7	36
1.939	46.8	40
1.660	55.3	35
1.604	57.4	23
1.539	60.1	21

Entry 4:
# Zr2PaN4
Theoretical XRD peak list, Cu Ka. Input: a crystal structure in Alexandria, relaxed with GGA-PBE.

```
data_Zr2PaN4
_chemical_formula_sum 'Zr4 Pa2 N8'
_cell_length_a 5.589
_cell_length_b 5.589
_cell_length_c 10.612
_cell_angle_alpha 90.00
_cell_angle_beta 90.00
_cell_angle_gamma 146.22
_space_group_name_H-M_alt 'P 1'
_space_group_IT_number 1
loop_
_space_group_symop_operation_xyz
'x,y,z'
loop_
_atom_site_label
_atom_site_fract_x
_atom_site_fract_y
_atom_site_fract_z
_atom_site_occupancy
Zr1 0.130 0.870 0.566 1
Zr2 0.130 0.870 0.934 1
Zr3 0.870 0.130 0.066 1
Zr4 0.870 0.130 0.434 1
Pa1 0.384 0.616 0.750 1
Pa2 0.616 0.384 0.250 1
N1 0.032 0.968 0.750 1
N2 0.225 0.775 0.120 1
N3 0.225 0.775 0.380 1
N4 0.500 0.500 0.000 1
N5 0.500 0.500 0.500 1
N6 0.775 0.225 0.620 1
N7 0.775 0.225 0.880 1
N8 0.968 0.032 0.250 1
```

Peak list (10 most intense, 2θ = 10–90°, low angle first)
d/Å	two_theta	I/Imax
4.776	18.6	46
2.983	30.0	48
2.950	30.3	100
2.679	33.5	86
2.342	38.4	46
2.188	41.3	36
1.753	52.2	24
1.693	54.2	22
1.591	58.0	35
1.423	65.6	23

Entry 5:
# Pm4TlPbN
Theoretical XRD peak list, Cu Ka. Input: a crystal structure in Alexandria, relaxed with GGA-PBE.

```
data_Pm4TlPbN
_chemical_formula_sum 'Pm8 Tl2 Pb2 N2'
_cell_length_a 8.960
_cell_length_b 8.960
_cell_length_c 6.917
_cell_angle_alpha 90.00
_cell_angle_beta 90.00
_cell_angle_gamma 134.60
_space_group_name_H-M_alt 'P 1'
_space_group_IT_number 1
loop_
_space_group_symop_operation_xyz
'x,y,z'
loop_
_atom_site_label
_atom_site_fract_x
_atom_site_fract_y
_atom_site_fract_z
_atom_site_occupancy
Pm1 0.000 0.500 0.000 1
Pm2 0.000 0.500 0.500 1
Pm3 0.086 0.914 0.750 1
Pm4 0.410 0.590 0.750 1
Pm5 0.500 0.000 0.000 1
Pm6 0.500 0.000 0.500 1
Pm7 0.590 0.410 0.250 1
Pm8 0.914 0.086 0.250 1
Tl1 0.110 0.890 0.250 1
Tl2 0.890 0.110 0.750 1
Pb1 0.393 0.607 0.250 1
Pb2 0.607 0.393 0.750 1
N1 0.251 0.749 0.750 1
N2 0.749 0.251 0.250 1
```

Peak list (10 most intense, 2θ = 10–90°, low angle first)
d/Å	two_theta	I/Imax
3.458	25.8	26
3.190	28.0	59
2.755	32.5	28
2.652	33.8	100
2.445	36.8	59
1.829	49.9	34
1.729	53.0	21
1.491	62.2	18
1.465	63.5	16
1.448	64.3	32

Entry 6:
# Pr6Pb3N2
Theoretical XRD peak list, Cu Ka. Input: a crystal structure in Alexandria, relaxed with GGA-PBE.

```
data_Pr6Pb3N2
_chemical_formula_sum 'Pr6 Pb3 N2'
_cell_length_a 13.701
_cell_length_b 13.701
_cell_length_c 13.701
_cell_angle_alpha 159.19
_cell_angle_beta 159.19
_cell_angle_gamma 29.60
_space_group_name_H-M_alt 'P 1'
_space_group_IT_number 1
loop_
_space_group_symop_operation_xyz
'x,y,z'
loop_
_atom_site_label
_atom_site_fract_x
_atom_site_fract_y
_atom_site_fract_z
_atom_site_occupancy
Pr1 0.084 0.584 0.500 1
Pr2 0.193 0.193 0.000 1
Pr3 0.416 0.916 0.500 1
Pr4 0.584 0.084 0.500 1
Pr5 0.807 0.807 0.000 1
Pr6 0.916 0.416 0.500 1
Pb1 0.322 0.322 0.000 1
Pb2 0.500 0.500 0.000 1
Pb3 0.678 0.678 0.000 1
N1 0.104 0.104 0.000 1
N2 0.896 0.896 0.000 1
```

Peak list (10 most intense, 2θ = 10–90°, low angle first)
d/Å	two_theta	I/Imax
4.865	18.2	16
3.384	26.3	30
3.094	28.9	14
2.743	32.7	100
2.475	36.3	51
2.207	40.9	12
1.808	50.5	13
1.750	52.3	18
1.647	55.8	13
1.475	63.0	31

Entry 7:
# Pr10Pb4N3
Theoretical XRD peak list, Cu Ka. Input: a crystal structure in Alexandria, relaxed with GGA-PBE.

```
data_Pr10Pb4N3
_chemical_formula_sum 'Pr10 Pb4 N3'
_cell_length_a 18.816
_cell_length_b 18.816
_cell_length_c 18.816
_cell_angle_alpha 164.55
_cell_angle_beta 164.55
_cell_angle_gamma 21.92
_space_group_name_H-M_alt 'P 1'
_space_group_IT_number 1
loop_
_space_group_symop_operation_xyz
'x,y,z'
loop_
_atom_site_label
_atom_site_fract_x
_atom_site_fract_y
_atom_site_fract_z
_atom_site_occupancy
Pr1 0.000 0.500 0.500 1
Pr2 0.068 0.068 0.000 1
Pr3 0.136 0.636 0.500 1
Pr4 0.208 0.208 0.000 1
Pr5 0.364 0.864 0.500 1
Pr6 0.500 0.000 0.500 1
Pr7 0.636 0.136 0.500 1
Pr8 0.792 0.792 0.000 1
Pr9 0.864 0.364 0.500 1
Pr10 0.932 0.932 0.000 1
Pb1 0.299 0.299 0.000 1
Pb2 0.432 0.432 0.000 1
Pb3 0.568 0.568 0.000 1
Pb4 0.701 0.701 0.000 1
N1 0.000 0.000 0.000 1
N2 0.141 0.141 0.000 1
N3 0.859 0.859 0.000 1
```

Peak list (10 most intense, 2θ = 10–90°, low angle first)
d/Å	two_theta	I/Imax
3.093	28.9	34
2.828	31.6	100
2.639	34.0	21
2.530	35.5	56
1.826	49.9	28
1.789	51.1	20
1.520	60.9	20
1.512	61.3	31
1.481	62.8	14
1.158	83.4	17

Entry 8:
# RbPbS2N
Theoretical XRD peak list, Cu Ka. Input: a crystal structure in Alexandria, relaxed with GGA-PBE.

```
data_RbPbS2N
_chemical_formula_sum 'Rb1 Pb1 S2 N1'
_cell_length_a 5.374
_cell_length_b 5.374
_cell_length_c 4.755
_cell_angle_alpha 90.00
_cell_angle_beta 90.00
_cell_angle_gamma 90.00
_space_group_name_H-M_alt 'P 1'
_space_group_IT_number 1
loop_
_space_group_symop_operation_xyz
'x,y,z'
loop_
_atom_site_label
_atom_site_fract_x
_atom_site_fract_y
_atom_site_fract_z
_atom_site_occupancy
Rb1 0.000 0.000 0.000 1
Pb1 0.500 0.500 0.500 1
S1 0.000 0.500 0.500 1
S2 0.500 0.000 0.500 1
N1 0.500 0.500 0.000 1
```

Peak list (10 most intense, 2θ = 10–90°, low angle first)
d/Å	two_theta	I/Imax
5.374	16.5	29
4.755	18.7	19
3.800	23.4	43
3.561	25.0	100
2.687	33.3	44
2.378	37.8	15
2.145	42.1	52
2.016	45.0	16
1.900	47.9	15
1.781	51.3	25